Simulated powder XRD pattern
Compound: ThZr4Sc4
Radiation: Cu Kα (λ = 1.5418 Å)
Structure: a crystal structure in Alexandria, relaxed with PBE

Structure:
Unit cell a=15.355 b=5.041 c=6.174 alpha=90.00 beta=111.47 gamma=90.00
Space group C2/m (No. 12)
Symmetry-distinct sites (fractional):
Th  0.000  0.000  0.000 (multiplicity 2)
Zr  0.141  0.500  0.973 (multiplicity 4)
Zr  0.219  0.000  0.291 (multiplicity 4)
Sc  0.074  0.500  0.387 (multiplicity 4)
Sc  0.140  0.000  0.701 (multiplicity 4)

Most intense lines, 15 to 90 degrees two-theta, low angle first:
15.42°, I 44, (0 0 1); 22.78°, I 32, (1 1 -1); 33.59°, I 92, (3 1 1); 34.88°, I 100, (3 1 -2); 35.11°, I 40, (6 0 -1); 35.62°, I 51, (0 2 0); 36.13°, I 35, (5 1 0); 50.88°, I 27, (6 2 -1)

Simulated powder XRD pattern
Compound: Th2ZrSc5
Radiation: Cu Kα (λ = 1.5418 Å)
Structure: a crystal structure in Alexandria, relaxed with PBE

Structure:
Unit cell a=6.652 b=13.300 c=4.697 alpha=90.00 beta=90.00 gamma=90.00
Space group Pbam (No. 55)
Symmetry-distinct sites (fractional):
Th  0.244  0.124  0.000 (multiplicity 4)
Zr  0.000  0.000  0.500 (multiplicity 2)
Sc  0.000  0.500  0.500 (multiplicity 2)
Sc  0.005  0.752  0.500 (multiplicity 4)
Sc  0.248  0.376  0.000 (multiplicity 4)

Most intense lines, 15 to 90 degrees two-theta, low angle first:
18.88°, I 56, (1 2 0); 26.82°, I 49, (1 2 1); 33.00°, I 100, (0 4 1); 38.29°, I 50, (0 0 2); 43.02°, I 30, (1 6 0); 47.37°, I 23, (1 6 1); 55.27°, I 34, (2 4 2); 65.90°, I 39, (0 4 3)

Simulated powder XRD pattern
Compound: ThZr4Sc15
Radiation: Cu Kα (λ = 1.5418 Å)
Structure: a crystal structure in Alexandria, relaxed with PBE

Structure:
Unit cell a=4.584 b=4.584 c=23.060 alpha=90.00 beta=90.00 gamma=90.00
Space group P4/mmm (No. 123)
Symmetry-distinct sites (fractional):
Th  0.000  0.000  0.000 (multiplicity 1)
Zr  0.000  0.000  0.203 (multiplicity 2)
Zr  0.000  0.000  0.402 (multiplicity 2)
Sc  0.000  0.500  0.106 (multiplicity 4)
Sc  0.000  0.500  0.303 (multiplicity 4)
Sc  0.000  0.500  0.500 (multiplicity 2)
Sc  0.500  0.500  0.000 (multiplicity 1)
Sc  0.500  0.500  0.205 (multiplicity 2)
Sc  0.500  0.500  0.401 (multiplicity 2)

Most intense lines, 15 to 90 degrees two-theta, low angle first:
19.36°, I 17, (1 0 0); 27.46°, I 22, (1 1 0); 33.80°, I 100, (1 1 5); 39.06°, I 16, (0 0 10); 39.31°, I 33, (2 0 0); 56.62°, I 20, (2 0 10); 67.42°, I 11, (1 1 15); 67.76°, I 24, (3 1 5)

Simulated powder XRD pattern
Compound: ThZr6Sc12
Radiation: Cu Kα (λ = 1.5418 Å)
Structure: a crystal structure in Alexandria, relaxed with PBE

Structure:
Unit cell a=12.0474 b=12.0474 c=12.0175 alpha=90.00 beta=90.00 gamma=120.00
Space group R-3m (No. 166, hexagonal axes)
Symmetry-distinct sites (fractional):
Th  0.0000  0.0000  0.0000 (multiplicity 3)
Zr  0.0314  0.5157  0.7104 (multiplicity 18)
Sc  0.0000  0.3787  0.5000 (multiplicity 18)
Sc  0.0940  0.1880  0.3839 (multiplicity 18)

Most intense lines, 15 to 90 degrees two-theta, low angle first:
17.03°, I 92, (0 1 2); 29.66°, I 51, (2 2 0); 31.81°, I 100, (1 3 1); 34.14°, I 32, (3 0 3); 34.42°, I 78, (0 2 4); 37.35°, I 62, (2 2 3); 38.40°, I 45, (0 1 5); 40.57°, I 49, (2 3 2)

Simulated powder XRD pattern
Compound: ThZrSc2
Radiation: Cu Kα (λ = 1.5418 Å)
Structure: a crystal structure in Alexandria, relaxed with PBE

Structure:
Unit cell a=7.419 b=7.419 c=7.419 alpha=90.00 beta=90.00 gamma=90.00
Space group Fm-3m (No. 225)
Symmetry-distinct sites (fractional):
Th  0.000  0.000  0.000 (multiplicity 4)
Zr  0.000  0.000  0.500 (multiplicity 4)
Sc  0.250  0.250  0.250 (multiplicity 8)

Most intense lines, 15 to 90 degrees two-theta, low angle first:
20.74°, I 22, (1 1 1); 23.99°, I 37, (2 0 0); 34.19°, I 100, (2 2 0); 40.32°, I 13, (3 1 1); 49.12°, I 18, (4 0 0); 55.39°, I 17, (4 2 0); 61.21°, I 36, (4 2 2); 82.18°, I 16, (6 2 0)

Simulated powder XRD pattern
Compound: ThZr4Sc6
Radiation: Cu Kα (λ = 1.5418 Å)
Structure: a crystal structure in Alexandria, relaxed with PBE

Structure:
Unit cell a=5.289 b=8.771 c=23.160 alpha=90.00 beta=91.63 gamma=90.00
Space group C2/c (No. 15)
Symmetry-distinct sites (fractional):
Th  0.000  0.206  0.250 (multiplicity 4)
Zr  0.005  0.145  0.543 (multiplicity 8)
Zr  0.028  0.454  0.880 (multiplicity 8)
Sc  0.000  0.456  0.750 (multiplicity 4)
Sc  0.000  0.500  0.000 (multiplicity 4)
Sc  0.013  0.127  0.822 (multiplicity 8)
Sc  0.018  0.200  0.402 (multiplicity 8)

Most intense lines, 15 to 90 degrees two-theta, low angle first:
22.52°, I 20, (1 1 -3); 23.03°, I 34, (1 1 3); 30.88°, I 16, (0 0 8); 33.15°, I 26, (1 1 -7); 33.94°, I 100, (2 0 0); 35.07°, I 49, (1 3 0); 35.24°, I 18, (1 3 -1); 35.35°, I 14, (1 3 1)

Simulated powder XRD pattern
Compound: Sc3Ti
Radiation: Cu Kα (λ = 1.5418 Å)
Structure: a crystal structure in Alexandria, relaxed with PBE

Structure:
Unit cell a=3.206 b=4.987 c=5.596 alpha=90.00 beta=90.00 gamma=90.00
Space group Pmm2 (No. 25)
Symmetry-distinct sites (fractional):
Sc  0.000  0.000  0.000 (multiplicity 1)
Sc  0.000  0.500  0.336 (multiplicity 1)
Sc  0.500  0.500  0.819 (multiplicity 1)
Ti  0.500  0.000  0.499 (multiplicity 1)

Most intense lines, 15 to 90 degrees two-theta, low angle first:
32.18°, I 27, (1 0 1); 36.02°, I 37, (0 2 0); 36.83°, I 53, (0 1 2); 37.00°, I 100, (1 1 1); 49.06°, I 15, (1 2 1); 57.13°, I 17, (1 0 3); 65.40°, I 16, (1 3 1); 69.41°, I 18, (1 2 3)

Simulated powder XRD pattern
Compound: Sc3Ti
Radiation: Cu Kα (λ = 1.5418 Å)
Structure: a crystal structure in Alexandria, relaxed with PBE

Structure:
Unit cell a=4.474 b=4.474 c=8.942 alpha=90.00 beta=90.00 gamma=90.00
Space group I4/mmm (No. 139)
Symmetry-distinct sites (fractional):
Sc  0.000  0.000  0.000 (multiplicity 2)
Sc  0.000  0.500  0.250 (multiplicity 4)
Ti  0.000  0.000  0.500 (multiplicity 2)

Most intense lines, 15 to 90 degrees two-theta, low angle first:
34.74°, I 100, (1 1 2); 40.33°, I 48, (2 0 0); 58.35°, I 29, (2 2 0); 69.73°, I 32, (3 1 2); 73.31°, I 9, (2 2 4); 87.16°, I 4, (4 0 0)

Simulated powder XRD pattern
Compound: Sc12TiTl3
Radiation: Cu Kα (λ = 1.5418 Å)
Structure: a crystal structure in Alexandria, relaxed with PBE

Structure:
Unit cell a=4.500 b=4.500 c=18.195 alpha=90.00 beta=90.00 gamma=90.00
Space group P4/mmm (No. 123)
Symmetry-distinct sites (fractional):
Sc  0.000  0.000  0.000 (multiplicity 1)
Sc  0.000  0.000  0.250 (multiplicity 2)
Sc  0.000  0.000  0.500 (multiplicity 1)
Sc  0.000  0.500  0.121 (multiplicity 4)
Sc  0.000  0.500  0.375 (multiplicity 4)
Ti  0.500  0.500  0.000 (multiplicity 1)
Tl  0.500  0.500  0.250 (multiplicity 2)
Tl  0.500  0.500  0.500 (multiplicity 1)

Most intense lines, 15 to 90 degrees two-theta, low angle first:
19.52°, I 15, (0 0 4); 19.73°, I 30, (1 0 0); 27.89°, I 26, (1 0 4); 34.40°, I 100, (1 1 4); 39.63°, I 17, (0 0 8); 40.07°, I 34, (2 0 0); 57.63°, I 21, (2 0 8); 69.17°, I 25, (3 1 4)

Simulated powder XRD pattern
Compound: Tm2ScTi
Radiation: Cu Kα (λ = 1.5418 Å)
Structure: a crystal structure in Alexandria, relaxed with PBE

Structure:
Unit cell a=3.314 b=3.314 c=9.121 alpha=90.00 beta=90.00 gamma=90.00
Space group P4/mmm (No. 123)
Symmetry-distinct sites (fractional):
Tm  0.000  0.000  0.230 (multiplicity 2)
Sc  0.500  0.500  0.500 (multiplicity 1)
Ti  0.500  0.500  0.000 (multiplicity 1)

Most intense lines, 15 to 90 degrees two-theta, low angle first:
19.46°, I 28, (0 0 2); 26.90°, I 29, (1 0 0); 33.42°, I 100, (1 0 2); 38.41°, I 36, (1 1 0); 39.52°, I 13, (0 0 4); 43.41°, I 16, (1 1 2); 56.29°, I 19, (1 1 4); 66.31°, I 27, (2 1 2)

Simulated powder XRD pattern
Compound: ScTi2Zn2
Radiation: Cu Kα (λ = 1.5418 Å)
Structure: a crystal structure in Alexandria, relaxed with PBE

Structure:
Unit cell a=3.084 b=4.588 c=12.167 alpha=90.00 beta=97.31 gamma=90.00
Space group P2_1/m (No. 11)
Symmetry-distinct sites (fractional):
Sc  0.155  0.250  0.309 (multiplicity 2)
Ti  0.042  0.750  0.084 (multiplicity 2)
Ti  0.234  0.750  0.468 (multiplicity 2)
Zn  0.367  0.250  0.734 (multiplicity 2)
Zn  0.446  0.750  0.893 (multiplicity 2)

Most intense lines, 15 to 90 degrees two-theta, low angle first:
34.51°, I 8, (1 0 2); 37.26°, I 20, (0 0 5); 39.27°, I 30, (0 2 0); 39.86°, I 100, (1 1 2); 42.31°, I 14, (0 1 5); 55.25°, I 12, (0 2 5); 71.59°, I 15, (1 3 2); 74.08°, I 8, (2 2 -1)

Simulated powder XRD pattern
Compound: Sc5TiZn6
Radiation: Cu Kα (λ = 1.5418 Å)
Structure: a crystal structure in Alexandria, relaxed with PBE

Structure:
Unit cell a=4.684 b=6.639 c=7.417 alpha=90.00 beta=108.30 gamma=90.00
Space group P2/m (No. 10)
Symmetry-distinct sites (fractional):
Sc  0.000  0.000  0.000 (multiplicity 1)
Sc  0.331  0.000  0.662 (multiplicity 2)
Sc  0.335  0.500  0.671 (multiplicity 2)
Ti  0.000  0.500  0.000 (multiplicity 1)
Zn  0.164  0.256  0.327 (multiplicity 4)
Zn  0.500  0.255  0.000 (multiplicity 2)

Most intense lines, 15 to 90 degrees two-theta, low angle first:
26.88°, I 6, (1 0 1); 38.38°, I 100, (2 0 -1); 55.36°, I 11, (2 0 2); 55.48°, I 5, (2 0 -4); 69.37°, I 20, (2 4 -1); 69.48°, I 10, (3 2 0); 82.13°, I 5, (2 4 2); 82.23°, I 3, (2 4 -4)